Record 1
Simulated X-ray powder pattern of CdTePtO for CuKα, from a crystal structure in OQMD, relaxed with GGA-PBE.
Peak positions follow from Bragg's law for the DFT cell and can differ from measured ones.

```
data_CdTePtO
_chemical_formula_sum 'Cd4 Te4 Pt4 O4'
_cell_length_a 7.2891
_cell_length_b 8.4207
_cell_length_c 5.4447
_cell_angle_alpha 90.00
_cell_angle_beta 90.00
_cell_angle_gamma 90.00
_symmetry_space_group_name_H-M 'P c a 21'
_symmetry_Int_Tables_number 29
loop_
_symmetry_equiv_pos_as_xyz
'x,y,z'
'-x,-y,z+1/2'
'-x+1/2,y,z+1/2'
'x+1/2,-y,z'
loop_
_atom_site_label
_atom_site_type_symbol
_atom_site_fract_x
_atom_site_fract_y
_atom_site_fract_z
_atom_site_occupancy
Cd1 Cd 0.0820 0.1246 0.0000 1
Te1 Te 0.0161 0.4271 0.6549 1
Pt1 Pt 0.2217 0.7919 0.1646 1
O1 O 0.1614 0.0183 0.6445 1
```

The 8 most intense peaks (2θ = 15–90°), most intense first:
two_theta	d_spacing	Rel. int.
16.08	5.511	100
29.49	3.029	84
36.82	2.441	57
32.49	2.756	51
32.90	2.722	45
38.57	2.334	43
46.92	1.937	37
34.23	2.619	32

---

Record 2
Simulated X-ray powder pattern of CdTePtO for CuKα, from a crystal structure in OQMD, relaxed with GGA-PBE.
Peak positions follow from Bragg's law for the DFT cell and can differ from measured ones.

```
data_CdTePtO
_chemical_formula_sum 'Cd4 Te4 Pt4 O4'
_cell_length_a 5.7937
_cell_length_b 7.1811
_cell_length_c 7.2252
_cell_angle_alpha 90.00
_cell_angle_beta 90.00
_cell_angle_gamma 90.00
_symmetry_space_group_name_H-M 'P 21 21 21'
_symmetry_Int_Tables_number 19
loop_
_symmetry_equiv_pos_as_xyz
'x,y,z'
'-x+1/2,-y,z+1/2'
'x+1/2,-y+1/2,-z'
'-x,y+1/2,-z+1/2'
loop_
_atom_site_label
_atom_site_type_symbol
_atom_site_fract_x
_atom_site_fract_y
_atom_site_fract_z
_atom_site_occupancy
Cd1 Cd 0.2397 0.0672 0.0766 1
Te1 Te 0.2468 0.5461 0.1990 1
Pt1 Pt 0.0748 0.2596 0.4161 1
O1 O 0.1108 0.3175 0.9124 1
```

The 8 most intense peaks (2θ = 15–90°), most intense first:
two_theta	d_spacing	Rel. int.
31.76	2.817	100
17.41	5.093	48
38.62	2.331	40
39.99	2.255	37
33.34	2.687	29
41.96	2.153	28
39.67	2.272	22
53.83	1.703	21

---

Record 3
Simulated X-ray powder pattern of Rb2CdO2 for CuKα, from a crystal structure in OQMD, relaxed with GGA-PBE.
Peak positions follow from Bragg's law for the DFT cell and can differ from measured ones.

```
data_Rb2CdO2
_chemical_formula_sum 'Rb8 Cd4 O8'
_cell_length_a 5.6246
_cell_length_b 7.4757
_cell_length_c 10.8403
_cell_angle_alpha 90.00
_cell_angle_beta 90.00
_cell_angle_gamma 90.00
_symmetry_space_group_name_H-M 'P 21 21 21'
_symmetry_Int_Tables_number 19
loop_
_symmetry_equiv_pos_as_xyz
'x,y,z'
'-x+1/2,-y,z+1/2'
'x+1/2,-y+1/2,-z'
'-x,y+1/2,-z+1/2'
loop_
_atom_site_label
_atom_site_type_symbol
_atom_site_fract_x
_atom_site_fract_y
_atom_site_fract_z
_atom_site_occupancy
Rb1 Rb 0.0055 0.0256 0.1786 1
Rb2 Rb 0.0071 0.1520 0.8658 1
Cd1 Cd 0.0245 0.6149 0.0098 1
O1 O 0.0019 0.3631 0.0891 1
O2 O 0.1567 0.2756 0.6180 1
```

The 8 most intense peaks (2θ = 15–90°), most intense first:
two_theta	d_spacing	Rel. int.
31.79	2.815	100
28.68	3.113	41
27.41	3.253	21
29.86	2.992	20
42.49	2.128	15
56.66	1.625	12
39.81	2.264	12
51.84	1.764	10

---

Record 4
Simulated X-ray powder pattern of Rb2Cd3O4 for CuKα, from a crystal structure in OQMD, relaxed with GGA-PBE.
Peak positions follow from Bragg's law for the DFT cell and can differ from measured ones.

```
data_Rb2Cd3O4
_chemical_formula_sum 'Rb4 Cd6 O8'
_cell_length_a 6.7140
_cell_length_b 5.7726
_cell_length_c 9.4443
_cell_angle_alpha 90.00
_cell_angle_beta 111.29
_cell_angle_gamma 90.00
_symmetry_space_group_name_H-M 'P 1 2/c 1'
_symmetry_Int_Tables_number 13
loop_
_symmetry_equiv_pos_as_xyz
'x,y,z'
'-x,-y,-z'
'-x,y,-z+1/2'
'x,-y,z+1/2'
loop_
_atom_site_label
_atom_site_type_symbol
_atom_site_fract_x
_atom_site_fract_y
_atom_site_fract_z
_atom_site_occupancy
Rb1 Rb 0.0000 0.0000 0.0000 1
Rb2 Rb 0.0000 0.4628 0.2500 1
Cd1 Cd 0.4945 0.2507 0.9284 1
Cd2 Cd 0.5000 0.2502 0.2500 1
O1 O 0.2937 0.0420 0.3405 1
O2 O 0.2957 0.4627 0.0546 1
```

The 8 most intense peaks (2θ = 15–90°), most intense first:
two_theta	d_spacing	Rel. int.
34.21	2.621	100
28.54	3.128	70
34.29	2.615	51
32.56	2.750	44
36.99	2.430	42
54.27	1.690	31
41.52	2.175	26
32.42	2.762	25

---

Record 5
Simulated X-ray powder pattern of CdRe2O6 for CuKα, from a crystal structure in OQMD, relaxed with GGA-PBE.
Peak positions follow from Bragg's law for the DFT cell and can differ from measured ones.

```
data_CdRe2O6
_chemical_formula_sum 'Cd1 Re2 O6'
_cell_length_a 5.2227
_cell_length_b 5.2227
_cell_length_c 4.7348
_cell_angle_alpha 90.00
_cell_angle_beta 90.00
_cell_angle_gamma 120.00
_symmetry_space_group_name_H-M 'P -3 1 m'
_symmetry_Int_Tables_number 162
_symmetry_space_group_name_Hall '-P 3 2'
loop_
_atom_site_label
_atom_site_type_symbol
_atom_site_fract_x
_atom_site_fract_y
_atom_site_fract_z
_atom_site_occupancy
Cd1 Cd 0.0000 0.0000 0.0000 1
Re1 Re 0.3333 0.6667 0.5000 1
O1 O 0.0000 0.3647 0.2759 1
```

The 8 most intense peaks (2θ = 15–90°), most intense first:
two_theta	d_spacing	Rel. int.
27.27	3.271	100
34.34	2.611	57
52.15	1.754	51
18.74	4.735	33
39.41	2.287	28
44.39	2.041	26
57.30	1.608	25
61.51	1.508	17

---

Record 6
Simulated X-ray powder pattern of CdSO4 for CuKα, from a crystal structure in OQMD, relaxed with GGA-PBE.
Peak positions follow from Bragg's law for the DFT cell and can differ from measured ones.

```
data_CdSO4
_chemical_formula_sum 'Cd2 S2 O8'
_cell_length_a 4.6865
_cell_length_b 4.6560
_cell_length_c 8.0761
_cell_angle_alpha 90.00
_cell_angle_beta 125.36
_cell_angle_gamma 90.00
_symmetry_space_group_name_H-M 'P 1 c 1'
_symmetry_Int_Tables_number 7
loop_
_symmetry_equiv_pos_as_xyz
'x,y,z'
'x,-y,z+1/2'
loop_
_atom_site_label
_atom_site_type_symbol
_atom_site_fract_x
_atom_site_fract_y
_atom_site_fract_z
_atom_site_occupancy
Cd1 Cd 0.0000 0.1609 0.0000 1
S1 S 0.4908 0.3307 0.5005 1
O1 O 0.1763 0.1919 0.3212 1
O2 O 0.4384 0.3554 0.0008 1
O3 O 0.5338 0.1912 0.6794 1
O4 O 0.8054 0.2934 0.5004 1
```

The 8 most intense peaks (2θ = 15–90°), most intense first:
two_theta	d_spacing	Rel. int.
27.03	3.299	100
38.62	2.331	34
30.27	2.953	34
23.30	3.818	17
45.66	1.987	16
47.63	1.909	16
38.42	2.343	15
45.47	1.995	14

---

Record 7
Simulated X-ray powder pattern of Cd3SO6 for CuKα, from a crystal structure in OQMD, relaxed with GGA-PBE.
Peak positions follow from Bragg's law for the DFT cell and can differ from measured ones.

```
data_Cd3SO6
_chemical_formula_sum 'Cd6 S2 O12'
_cell_length_a 6.8414
_cell_length_b 7.0165
_cell_length_c 7.0640
_cell_angle_alpha 60.73
_cell_angle_beta 89.23
_cell_angle_gamma 72.08
_symmetry_space_group_name_H-M 'P -1'
_symmetry_Int_Tables_number 2
loop_
_symmetry_equiv_pos_as_xyz
'x,y,z'
'-x,-y,-z'
loop_
_atom_site_label
_atom_site_type_symbol
_atom_site_fract_x
_atom_site_fract_y
_atom_site_fract_z
_atom_site_occupancy
Cd1 Cd 0.1743 0.0190 0.1503 1
Cd2 Cd 0.2621 0.4993 0.1519 1
Cd3 Cd 0.3122 0.9999 0.6562 1
S1 S 0.2351 0.5141 0.6677 1
O1 O 0.0980 0.7334 0.4742 1
O2 O 0.1028 0.4087 0.8290 1
O3 O 0.1794 0.8658 0.9491 1
O4 O 0.3323 0.1344 0.3080 1
O5 O 0.3603 0.3493 0.6013 1
O6 O 0.3775 0.5675 0.7794 1
```

The 8 most intense peaks (2θ = 15–90°), most intense first:
two_theta	d_spacing	Rel. int.
31.14	2.872	100
27.79	3.210	95
30.39	2.941	90
30.51	2.930	89
33.94	2.641	50
34.68	2.587	44
18.22	4.869	34
34.23	2.619	34